# 1
Starting from a structure optimized by DFT (PBE), the powder X-ray diffraction pattern of BMo was simulated for CuKα.

Cell and atoms:
a b c (Å): 3.165 8.539 3.096
angles (deg): 90.00 90.00 90.00
Space group Cmcm (No. 63)
Symmetry-distinct sites (fractional):
B (0.000, 0.059, 0.250) x4
Mo (0.000, 0.356, 0.250) x4

Peak list (12 most intense, 5° ≤ 2θ ≤ 70°, in order of rising 2θ)
2θ 20.80, d = 4.270 Å, I = 6.8, hkl 0 2 0; 2θ 30.11, d = 2.968 Å, I = 54.8, hkl 1 1 0; 2θ 35.83, d = 2.506 Å, I = 100.0, hkl 0 2 1; 2θ 42.18, d = 2.142 Å, I = 99.0, hkl 1 1 1; 2θ 42.34, d = 2.135 Å, I = 28.4, hkl 0 4 0; 2θ 42.73, d = 2.116 Å, I = 64.1, hkl 1 3 0; 2θ 52.04, d = 1.757 Å, I = 11.3, hkl 0 4 1; 2θ 52.37, d = 1.747 Å, I = 17.2, hkl 1 3 1; 2θ 58.31, d = 1.582 Å, I = 15.8, hkl 2 0 0; 2θ 59.74, d = 1.548 Å, I = 14.6, hkl 0 0 2; 2θ 68.35, d = 1.372 Å, I = 10.5, hkl 1 1 2; 2θ 69.53, d = 1.352 Å, I = 27.5, hkl 1 5 1



# 2
Starting from a structure optimized by DFT (PBE), the powder X-ray diffraction pattern of B4Mo was simulated for CuKα.

Cell and atoms:
a b c (Å): 5.5159 5.5159 5.1674
angles (deg): 90.00 90.00 120.00
Space group P6/mmm (No. 191)
Symmetry-distinct sites (fractional):
B (0.0000, 0.3401, 0.2145) x12
Mo (0.0000, 0.0000, 0.0000) x1
Mo (0.3333, 0.6667, 0.5000) x2

Peak list (12 most intense, 5° ≤ 2θ ≤ 70°, in order of rising 2θ)
2θ 17.16, d = 5.167 Å, I = 5.6, hkl 0 0 1; 2θ 25.39, d = 3.508 Å, I = 100.0, hkl 1 0 1; 2θ 32.46, d = 2.758 Å, I = 41.0, hkl 1 1 0; 2θ 34.72, d = 2.584 Å, I = 8.1, hkl 0 0 2; 2θ 36.94, d = 2.433 Å, I = 11.3, hkl 1 1 1; 2θ 41.66, d = 2.168 Å, I = 26.3, hkl 2 0 1; 2θ 48.27, d = 1.886 Å, I = 48.0, hkl 1 1 2; 2θ 53.78, d = 1.704 Å, I = 24.0, hkl 2 1 1; 2θ 56.82, d = 1.620 Å, I = 10.2, hkl 1 0 3; 2θ 57.91, d = 1.592 Å, I = 17.4, hkl 3 0 0; 2θ 66.98, d = 1.397 Å, I = 6.0, hkl 2 0 3; 2θ 69.32, d = 1.356 Å, I = 7.1, hkl 3 0 2



# 3
Starting from a structure optimized by DFT (PBE), the powder X-ray diffraction pattern of B4Mo was simulated for CuKα.

Cell and atoms:
a b c (Å): 5.3215 5.3215 6.5409
angles (deg): 90.00 90.00 120.00
Space group P6_3/mmc (No. 194)
Symmetry-distinct sites (fractional):
B (0.0000, 0.3364, 0.0000) x12
B (0.3333, 0.6667, 0.1205) x4
Mo (0.0000, 0.0000, 0.2500) x2
Mo (0.3333, 0.6667, 0.7500) x2

Peak list (12 most intense, 5° ≤ 2θ ≤ 70°, in order of rising 2θ)
2θ 19.26, d = 4.609 Å, I = 13.7, hkl 1 0 0; 2θ 23.62, d = 3.767 Å, I = 62.1, hkl 1 0 1; 2θ 27.27, d = 3.270 Å, I = 26.4, hkl 0 0 2; 2θ 33.67, d = 2.662 Å, I = 91.4, hkl 1 1 0; 2θ 41.55, d = 2.173 Å, I = 14.4, hkl 2 0 1; 2θ 43.87, d = 2.064 Å, I = 100.0, hkl 1 1 2; 2θ 46.05, d = 1.971 Å, I = 16.3, hkl 1 0 3; 2θ 54.52, d = 1.683 Å, I = 12.8, hkl 2 1 1; 2θ 60.24, d = 1.536 Å, I = 28.8, hkl 3 0 0; 2θ 67.20, d = 1.393 Å, I = 15.3, hkl 1 1 4; 2θ 67.35, d = 1.390 Å, I = 13.8, hkl 3 0 2; 2θ 69.01, d = 1.361 Å, I = 9.3, hkl 2 1 3



# 4
Starting from a structure optimized by DFT (PBE), the powder X-ray diffraction pattern of BMo2 was simulated for CuKα.

Cell and atoms:
a b c (Å): 5.561 5.561 4.781
angles (deg): 90.00 90.00 90.00
Space group I4/mcm (No. 140)
Symmetry-distinct sites (fractional):
B (0.000, 0.000, 0.250) x4
Mo (0.169, 0.331, 0.000) x8

Peak list (11 most intense, 5° ≤ 2θ ≤ 70°, in order of rising 2θ)
2θ 22.61, d = 3.932 Å, I = 7.9, hkl 1 1 0; 2θ 32.19, d = 2.780 Å, I = 20.5, hkl 2 0 0; 2θ 37.63, d = 2.390 Å, I = 26.5, hkl 0 0 2; 2θ 40.90, d = 2.206 Å, I = 100.0, hkl 2 1 1; 2θ 44.35, d = 2.043 Å, I = 5.4, hkl 1 1 2; 2θ 46.17, d = 1.966 Å, I = 3.0, hkl 2 2 0; 2θ 50.34, d = 1.813 Å, I = 15.0, hkl 2 0 2; 2θ 52.00, d = 1.758 Å, I = 12.0, hkl 3 1 0; 2θ 61.02, d = 1.518 Å, I = 1.5, hkl 2 2 2; 2θ 65.95, d = 1.416 Å, I = 8.7, hkl 3 1 2; 2θ 67.36, d = 1.390 Å, I = 1.7, hkl 4 0 0



# 5
Starting from a structure optimized by DFT (PBE), the powder X-ray diffraction pattern of B2Mo3 was simulated for CuKα.

Cell and atoms:
a b c (Å): 6.065 6.065 3.144
angles (deg): 90.00 90.00 90.00
Space group P4/mbm (No. 127)
Symmetry-distinct sites (fractional):
B (0.112, 0.388, 0.000) x4
Mo (0.000, 0.000, 0.000) x2
Mo (0.172, 0.672, 0.500) x4

Peak list (12 most intense, 5° ≤ 2θ ≤ 70°, in order of rising 2θ)
2θ 20.71, d = 4.289 Å, I = 13.1, hkl 1 1 0; 2θ 28.39, d = 3.144 Å, I = 10.5, hkl 0 0 1; 2θ 33.02, d = 2.712 Å, I = 77.1, hkl 2 1 0; 2θ 35.40, d = 2.536 Å, I = 62.7, hkl 1 1 1; 2θ 41.37, d = 2.183 Å, I = 100.0, hkl 2 0 1; 2θ 42.14, d = 2.144 Å, I = 27.2, hkl 2 2 0; 2θ 44.10, d = 2.054 Å, I = 88.8, hkl 2 1 1; 2θ 47.40, d = 1.918 Å, I = 58.2, hkl 3 1 0; 2θ 58.74, d = 1.572 Å, I = 18.5, hkl 0 0 2; 2θ 63.21, d = 1.471 Å, I = 16.5, hkl 4 1 0; 2θ 68.73, d = 1.366 Å, I = 12.7, hkl 4 0 1; 2θ 69.06, d = 1.360 Å, I = 17.6, hkl 2 1 2



# 6
Starting from a structure optimized by DFT (PBE), the powder X-ray diffraction pattern of BMo was simulated for CuKα.

Cell and atoms:
a b c (Å): 3.132 3.132 17.057
angles (deg): 90.00 90.00 90.00
Space group I4_1/amd (No. 141, origin choice 2)
Symmetry-distinct sites (fractional):
B (0.000, 0.250, 0.030) x8
Mo (0.000, 0.250, 0.178) x8

Peak list (12 most intense, 5° ≤ 2θ ≤ 70°, in order of rising 2θ)
2θ 20.83, d = 4.264 Å, I = 6.6, hkl 0 0 4; 2θ 28.99, d = 3.080 Å, I = 16.4, hkl 1 0 1; 2θ 32.64, d = 2.743 Å, I = 89.6, hkl 1 0 3; 2θ 39.04, d = 2.307 Å, I = 91.1, hkl 1 0 5; 2θ 42.16, d = 2.143 Å, I = 100.0, hkl 1 1 2; 2θ 42.39, d = 2.132 Å, I = 28.9, hkl 0 0 8; 2θ 47.26, d = 1.923 Å, I = 33.1, hkl 1 0 7; 2θ 52.37, d = 1.747 Å, I = 17.8, hkl 1 1 6; 2θ 58.98, d = 1.566 Å, I = 30.8, hkl 2 0 0; 2θ 67.39, d = 1.390 Å, I = 4.8, hkl 1 0 11; 2θ 69.06, d = 1.360 Å, I = 20.1, hkl 2 1 3; 2θ 69.57, d = 1.351 Å, I = 27.7, hkl 1 1 10



# 7
Starting from a structure optimized by DFT (PBE), the powder X-ray diffraction pattern of B3Mo was simulated for CuKα.

Cell and atoms:
a b c (Å): 5.2272 5.2272 9.3825
angles (deg): 90.00 90.00 120.00
Space group R-3m (No. 166, hexagonal axes)
Symmetry-distinct sites (fractional):
B (0.0000, 0.3350, 0.0000) x18
Mo (0.0000, 0.0000, 0.1647) x6

Peak list (12 most intense, 5° ≤ 2θ ≤ 70°, in order of rising 2θ)
2θ 21.80, d = 4.077 Å, I = 75.8, hkl 1 0 1; 2θ 27.38, d = 3.258 Å, I = 38.0, hkl 0 1 2; 2θ 28.54, d = 3.128 Å, I = 26.3, hkl 0 0 3; 2θ 34.31, d = 2.614 Å, I = 69.2, hkl 1 1 0; 2θ 41.02, d = 2.200 Å, I = 14.3, hkl 0 2 1; 2θ 43.45, d = 2.083 Å, I = 13.5, hkl 1 0 4; 2θ 44.44, d = 2.039 Å, I = 9.7, hkl 2 0 2; 2θ 45.21, d = 2.005 Å, I = 100.0, hkl 1 1 3; 2θ 54.52, d = 1.683 Å, I = 11.9, hkl 2 1 1; 2θ 57.32, d = 1.607 Å, I = 8.9, hkl 1 2 2; 2θ 61.45, d = 1.509 Å, I = 22.9, hkl 3 0 0; 2θ 69.12, d = 1.359 Å, I = 14.1, hkl 3 0 3



# 8
Starting from a structure optimized by DFT (PBE), the powder X-ray diffraction pattern of ReBMo was simulated for CuKα.

Cell and atoms:
a b c (Å): 4.696 7.768 7.903
angles (deg): 90.00 90.00 90.00
Space group Fmmm (No. 69)
Symmetry-distinct sites (fractional):
Re (0.000, 0.000, 0.169) x8
B (0.250, 0.250, 0.250) x8
Mo (0.000, 0.168, 0.500) x8

Peak list (12 most intense, 5° ≤ 2θ ≤ 70°, in order of rising 2θ)
2θ 22.90, d = 3.884 Å, I = 31.6, hkl 0 2 0; 2θ 24.86, d = 3.582 Å, I = 11.1, hkl 1 1 1; 2θ 32.32, d = 2.770 Å, I = 33.7, hkl 0 2 2; 2θ 38.34, d = 2.348 Å, I = 41.9, hkl 2 0 0; 2θ 40.97, d = 2.203 Å, I = 100.0, hkl 1 1 3; 2θ 41.43, d = 2.180 Å, I = 62.9, hkl 1 3 1; 2θ 45.12, d = 2.009 Å, I = 14.3, hkl 2 2 0; 2θ 50.99, d = 1.791 Å, I = 23.0, hkl 2 2 2; 2θ 51.92, d = 1.761 Å, I = 9.0, hkl 0 2 4; 2θ 52.50, d = 1.743 Å, I = 10.1, hkl 0 4 2; 2θ 66.36, d = 1.409 Å, I = 7.0, hkl 2 2 4; 2θ 66.85, d = 1.399 Å, I = 8.1, hkl 2 4 2



# 9
Starting from a structure optimized by DFT (PBE), the powder X-ray diffraction pattern of B2Mo2Ru was simulated for CuKα.

Cell and atoms:
a b c (Å): 7.532 9.621 3.099
angles (deg): 90.00 90.00 90.00
Space group Pnnm (No. 58)
Symmetry-distinct sites (fractional):
B (0.115, 0.039, 0.000) x4
B (0.125, 0.232, 0.000) x4
Mo (0.075, 0.860, 0.500) x4
Mo (0.191, 0.629, 0.000) x4
Ru (0.120, 0.392, 0.500) x4

Peak list (12 most intense, 5° ≤ 2θ ≤ 70°, in order of rising 2θ)
2θ 31.21, d = 2.866 Å, I = 24.6, hkl 1 0 1; 2θ 32.60, d = 2.746 Å, I = 16.1, hkl 1 1 1; 2θ 37.01, d = 2.429 Å, I = 16.1, hkl 3 1 0; 2θ 37.39, d = 2.405 Å, I = 41.9, hkl 0 4 0; 2θ 40.52, d = 2.226 Å, I = 52.7, hkl 3 2 0; 2θ 42.18, d = 2.142 Å, I = 100.0, hkl 2 2 1; 2θ 42.30, d = 2.137 Å, I = 16.8, hkl 1 3 1; 2θ 45.91, d = 1.977 Å, I = 7.8, hkl 3 3 0; 2θ 49.48, d = 1.842 Å, I = 14.8, hkl 1 4 1; 2θ 59.68, d = 1.549 Å, I = 13.6, hkl 0 0 2; 2θ 69.37, d = 1.355 Å, I = 9.8, hkl 5 0 1; 2θ 69.57, d = 1.351 Å, I = 7.2, hkl 3 6 0



# 10
Starting from a structure optimized by DFT (PBE), the powder X-ray diffraction pattern of TaB2Mo2 was simulated for CuKα.

Cell and atoms:
a b c (Å): 6.127 6.127 3.192
angles (deg): 90.00 90.00 90.00
Space group P4/mbm (No. 127)
Symmetry-distinct sites (fractional):
Ta (0.000, 0.000, 0.000) x2
B (0.109, 0.391, 0.000) x4
Mo (0.174, 0.674, 0.500) x4

Peak list (12 most intense, 5° ≤ 2θ ≤ 70°, in order of rising 2θ)
2θ 20.50, d = 4.332 Å, I = 51.7, hkl 1 1 0; 2θ 32.68, d = 2.740 Å, I = 37.4, hkl 2 1 0; 2θ 34.91, d = 2.570 Å, I = 78.8, hkl 1 1 1; 2θ 40.83, d = 2.210 Å, I = 100.0, hkl 2 0 1; 2θ 41.70, d = 2.166 Å, I = 32.5, hkl 2 2 0; 2θ 43.53, d = 2.079 Å, I = 43.3, hkl 2 1 1; 2θ 46.90, d = 1.937 Å, I = 57.8, hkl 3 1 0; 2θ 55.48, d = 1.656 Å, I = 9.0, hkl 3 1 1; 2θ 57.76, d = 1.596 Å, I = 15.4, hkl 0 0 2; 2θ 67.91, d = 1.380 Å, I = 22.6, hkl 4 0 1; 2θ 68.49, d = 1.370 Å, I = 11.6, hkl 4 2 0; 2θ 69.82, d = 1.347 Å, I = 11.6, hkl 4 1 1



# 11
Starting from a structure optimized by DFT (PBE), the powder X-ray diffraction pattern of Tb3B7Mo was simulated for CuKα.

Cell and atoms:
a b c (Å): 3.495 16.077 9.507
angles (deg): 90.00 90.00 90.00
Space group Cmcm (No. 63)
Symmetry-distinct sites (fractional):
Tb (0.000, 0.106, 0.060) x8
Tb (0.000, 0.243, 0.750) x4
B (0.000, 0.273, 0.032) x8
B (0.000, 0.366, 0.147) x8
B (0.000, 0.457, 0.750) x4
B (0.000, 0.480, 0.093) x8
Mo (0.000, 0.053, 0.750) x4

Peak list (12 most intense, 5° ≤ 2θ ≤ 70°, in order of rising 2θ)
2θ 26.09, d = 3.415 Å, I = 90.0, hkl 1 1 0; 2θ 29.10, d = 3.069 Å, I = 95.6, hkl 0 4 2; 2θ 30.32, d = 2.948 Å, I = 74.1, hkl 0 2 3; 2θ 31.99, d = 2.798 Å, I = 37.1, hkl 1 3 1; 2θ 33.44, d = 2.679 Å, I = 38.7, hkl 0 6 0; 2θ 36.06, d = 2.490 Å, I = 27.8, hkl 0 4 3; 2θ 38.03, d = 2.366 Å, I = 32.6, hkl 1 5 0; 2θ 38.77, d = 2.323 Å, I = 100.0, hkl 1 1 3; 2θ 39.24, d = 2.296 Å, I = 53.4, hkl 1 5 1; 2θ 42.69, d = 2.118 Å, I = 35.8, hkl 1 5 2; 2θ 52.36, d = 1.747 Å, I = 27.2, hkl 2 0 0; 2θ 56.02, d = 1.642 Å, I = 29.9, hkl 1 7 3



# 12
Starting from a structure optimized by DFT (PBE), the powder X-ray diffraction pattern of ThB4Mo was simulated for CuKα.

Cell and atoms:
a b c (Å): 7.511 9.626 3.785
angles (deg): 90.00 90.00 90.00
Space group Cmmm (No. 65)
Symmetry-distinct sites (fractional):
Th (0.000, 0.198, 0.000) x4
B (0.000, 0.410, 0.500) x4
B (0.129, 0.000, 0.500) x4
B (0.221, 0.344, 0.500) x8
Mo (0.173, 0.500, 0.000) x4

Peak list (12 most intense, 5° ≤ 2θ ≤ 70°, in order of rising 2θ)
2θ 23.51, d = 3.785 Å, I = 62.3, hkl 0 0 1; 2θ 23.69, d = 3.756 Å, I = 18.8, hkl 2 0 0; 2θ 30.18, d = 2.961 Å, I = 41.5, hkl 2 2 0; 2θ 30.29, d = 2.951 Å, I = 40.3, hkl 1 3 0; 2θ 33.62, d = 2.666 Å, I = 19.3, hkl 2 0 1; 2θ 37.10, d = 2.423 Å, I = 12.5, hkl 3 1 0; 2θ 38.65, d = 2.330 Å, I = 100.0, hkl 2 2 1; 2θ 44.39, d = 2.041 Å, I = 18.0, hkl 3 1 1; 2θ 48.08, d = 1.892 Å, I = 14.2, hkl 0 0 2; 2θ 57.86, d = 1.594 Å, I = 27.3, hkl 2 2 2; 2θ 60.68, d = 1.526 Å, I = 12.1, hkl 3 5 0; 2θ 66.00, d = 1.415 Å, I = 18.3, hkl 3 5 1